1.
Simulated X-ray powder pattern of SrMn2Sb2 for a wavelength of 1.5418 Å, from a structure optimized by DFT (PBE).
Neutral-atom scattering factors, no anomalous dispersion.

Crystal structure
```
SrMn2Sb2
1.0
4.555 0.000 0.000
-2.277 3.944 0.000
0.000 0.000 7.896
Sr Mn Sb
1 2 2
direct
0.000 0.000 0.000 Sr
0.333 0.667 0.620 Mn
0.667 0.333 0.380 Mn
0.333 0.667 0.268 Sb
0.667 0.333 0.732 Sb
```

Main lines, sorted by position (10° ≤ 2θ ≤ 90°):
- 3.946 Å, intensity 241
- 3.529 Å, intensity 1000
- 2.790 Å, intensity 583
- 2.277 Å, intensity 731
- 2.189 Å, intensity 494
- 1.913 Å, intensity 178
- 1.764 Å, intensity 187
- 1.722 Å, intensity 178
- 1.465 Å, intensity 268
- 1.297 Å, intensity 174



2.
Simulated X-ray powder pattern of Ti5MnSb2 for a wavelength of 1.5418 Å, from a structure optimized by DFT (PBE).
Neutral-atom scattering factors, no anomalous dispersion.

Crystal structure
```
Ti5MnSb2
1.0
-5.248 5.248 2.572
5.248 -5.248 2.572
5.248 5.248 -2.572
Ti Mn Sb
10 2 4
direct
0.070 0.799 0.869 Ti
0.201 0.070 0.271 Ti
0.250 0.750 0.500 Ti
0.299 0.570 0.869 Ti
0.430 0.299 0.729 Ti
0.570 0.701 0.271 Ti
0.701 0.430 0.131 Ti
0.750 0.250 0.500 Ti
0.799 0.930 0.729 Ti
0.930 0.201 0.131 Ti
0.250 0.250 0.000 Mn
0.750 0.750 0.000 Mn
0.164 0.336 0.500 Sb
0.336 0.836 0.172 Sb
0.664 0.164 0.828 Sb
0.836 0.664 0.500 Sb
```

Main lines, sorted by position (10° ≤ 2θ ≤ 90°):
- 3.467 Å, intensity 656
- 2.572 Å, intensity 215
- 2.534 Å, intensity 179
- 2.474 Å, intensity 262
- 2.347 Å, intensity 246
- 2.310 Å, intensity 318
- 2.282 Å, intensity 1000
- 1.837 Å, intensity 142
- 1.783 Å, intensity 216
- 1.422 Å, intensity 206



3.
Simulated X-ray powder pattern of U3MnSb5 for a wavelength of 1.5418 Å, from a structure optimized by DFT (PBE).
Neutral-atom scattering factors, no anomalous dispersion.

Crystal structure
```
U3MnSb5
1.0
8.972 0.000 0.000
-4.486 7.770 0.000
0.000 0.000 6.104
U Mn Sb
6 2 10
direct
0.000 0.391 0.250 U
0.000 0.609 0.750 U
0.391 0.000 0.250 U
0.391 0.391 0.750 U
0.609 0.000 0.750 U
0.609 0.609 0.250 U
0.000 0.000 0.000 Mn
0.000 0.000 0.500 Mn
0.000 0.247 0.750 Sb
0.000 0.753 0.250 Sb
0.247 0.000 0.750 Sb
0.247 0.247 0.250 Sb
0.333 0.667 0.000 Sb
0.333 0.667 0.500 Sb
0.667 0.333 0.000 Sb
0.667 0.333 0.500 Sb
0.753 0.000 0.250 Sb
0.753 0.753 0.750 Sb
```

Main lines, sorted by position (10° ≤ 2θ ≤ 90°):
- 3.615 Å, intensity 283
- 3.052 Å, intensity 242
- 2.647 Å, intensity 1000
- 2.590 Å, intensity 599
- 2.523 Å, intensity 819
- 2.032 Å, intensity 312
- 1.807 Å, intensity 163
- 1.673 Å, intensity 254
- 1.385 Å, intensity 194
- 1.315 Å, intensity 146